[1]
This entry pairs a crystal structure of CaEuGe4O12 with its calculated powder XRD pattern. Radiation: copper Kα. Structure: a DFT-relaxed cell (PBE, the Materials Project).

The 8 most intense peaks (2θ from 10° to 90°), by angle:
d = 4.329 Å, I = 49, (1 0 1); d = 3.749 Å, I = 22, (1 1 0); d = 2.651 Å, I = 100, (2 0 0); d = 2.261 Å, I = 26, (2 1 1); d = 1.878 Å, I = 15, (0 0 4); d = 1.873 Å, I = 29, (2 2 0); d = 1.531 Å, I = 38, (3 1 2); d = 1.326 Å, I = 25, (4 0 0)

Atomic structure:
```
data_CaEuGe4O12
_chemical_formula_sum 'Ca1 Eu1 Ge4 O12'
_cell_length_a 5.298
_cell_length_b 5.298
_cell_length_c 7.510
_cell_angle_alpha 90.00
_cell_angle_beta 90.00
_cell_angle_gamma 90.00
_symmetry_space_group_name_H-M 'P 4/m m m'
_symmetry_Int_Tables_number 123
_symmetry_space_group_name_Hall '-P 4 2'
loop_
_atom_site_label
_atom_site_type_symbol
_atom_site_fract_x
_atom_site_fract_y
_atom_site_fract_z
Ca1 Ca 0.000 0.000 0.000
Eu1 Eu 0.500 0.500 0.500
Ge1 Ge 0.000 0.500 0.246
O1 O 0.000 0.500 0.000
O2 O 0.000 0.500 0.500
O3 O 0.252 0.252 0.254
```



[2]
This entry pairs a crystal structure of Mg14AlGa with its calculated powder XRD pattern. Radiation: copper Kα. Structure: a DFT-relaxed cell (PBE, the Materials Project).

The 8 most intense peaks (2θ from 10° to 90°), by angle:
d = 2.705 Å, I = 25, (0 2 2); d = 2.586 Å, I = 42, (4 0 0); d = 2.415 Å, I = 52, (2 0 4); d = 2.397 Å, I = 100, (2 2 2); d = 1.869 Å, I = 16, (4 2 2); d = 1.572 Å, I = 17, (0 2 6); d = 1.454 Å, I = 20, (6 2 2); d = 1.343 Å, I = 20, (4 2 6)

Atomic structure:
```
data_Mg14AlGa
_chemical_formula_sum 'Mg28 Al2 Ga2'
_cell_length_a 10.343
_cell_length_b 6.228
_cell_length_c 10.925
_cell_angle_alpha 90.00
_cell_angle_beta 90.00
_cell_angle_gamma 90.00
_symmetry_space_group_name_H-M 'A m m 2'
_symmetry_Int_Tables_number 38
_symmetry_space_group_name_Hall 'A 2 -2'
loop_
_atom_site_label
_atom_site_type_symbol
_atom_site_fract_x
_atom_site_fract_y
_atom_site_fract_z
Mg1 Mg 0.000 0.000 0.000
Mg2 Mg 0.000 0.000 0.500
Mg3 Mg 0.000 0.250 0.251
Mg4 Mg 0.249 0.000 0.165
Mg5 Mg 0.250 0.000 0.665
Mg6 Mg 0.254 0.250 0.418
Mg7 Mg 0.500 0.249 0.251
Al1 Al 0.500 0.000 0.502
Ga1 Ga 0.500 0.000 0.001
```



[3]
This entry pairs a crystal structure of Sm2MgAl with its calculated powder XRD pattern. Radiation: copper Kα. Structure: a DFT-relaxed cell (PBE, the Materials Project).

The 8 most intense peaks (2θ from 10° to 90°), by angle:
d = 3.752 Å, I = 60, (2 0 0); d = 2.653 Å, I = 100, (2 2 0); d = 2.166 Å, I = 18, (2 2 2); d = 1.876 Å, I = 18, (4 0 0); d = 1.678 Å, I = 25, (4 2 0); d = 1.532 Å, I = 37, (4 2 2); d = 1.251 Å, I = 12, (6 0 0); d = 1.186 Å, I = 16, (6 2 0)

Atomic structure:
```
data_Sm2MgAl
_chemical_formula_sum 'Sm8 Mg4 Al4'
_cell_length_a 7.504
_cell_length_b 7.504
_cell_length_c 7.504
_cell_angle_alpha 90.00
_cell_angle_beta 90.00
_cell_angle_gamma 90.00
_symmetry_space_group_name_H-M 'F m -3 m'
_symmetry_Int_Tables_number 225
_symmetry_space_group_name_Hall '-F 4 2 3'
loop_
_atom_site_label
_atom_site_type_symbol
_atom_site_fract_x
_atom_site_fract_y
_atom_site_fract_z
Sm1 Sm 0.250 0.250 0.250
Mg1 Mg 0.000 0.000 0.000
Al1 Al 0.000 0.000 0.500
```



[4]
This entry pairs a crystal structure of Li3MgPCO7 with its calculated powder XRD pattern. Radiation: copper Kα. Structure: a DFT-relaxed cell (PBE, the Materials Project).

The 8 most intense peaks (2θ from 10° to 90°), by angle:
d = 8.380 Å, I = 66, (0 0 1); d = 4.367 Å, I = 28, (1 0 -1); d = 4.163 Å, I = 26, (1 0 1); d = 3.501 Å, I = 52, (1 1 1); d = 3.288 Å, I = 23, (1 0 -2); d = 3.235 Å, I = 100, (0 2 0); d = 2.561 Å, I = 31, (0 2 2); d = 2.474 Å, I = 19, (2 0 0)

Atomic structure:
```
data_Li3MgPCO7
_chemical_formula_sum 'Li6 Mg2 P2 C2 O14'
_cell_length_a 4.956
_cell_length_b 6.470
_cell_length_c 8.392
_cell_angle_alpha 90.00
_cell_angle_beta 93.13
_cell_angle_gamma 90.00
_symmetry_space_group_name_H-M 'P 1 21/m 1'
_symmetry_Int_Tables_number 11
_symmetry_space_group_name_Hall '-P 2yb'
loop_
_atom_site_label
_atom_site_type_symbol
_atom_site_fract_x
_atom_site_fract_y
_atom_site_fract_z
Li1 Li 0.234 0.019 0.233
Li2 Li 0.256 0.750 0.589
Mg1 Mg 0.211 0.250 0.844
P1 P 0.287 0.750 0.914
C1 C 0.276 0.250 0.544
O1 O 0.028 0.250 0.585
O2 O 0.177 0.750 0.083
O3 O 0.187 0.561 0.813
O4 O 0.335 0.250 0.394
O5 O 0.398 0.250 0.067
O6 O 0.470 0.250 0.654
```



[5]
This entry pairs a crystal structure of Nb2AgPS10 with its calculated powder XRD pattern. Radiation: copper Kα. Structure: a DFT-relaxed cell (PBE, the Materials Project).

The 8 most intense peaks (2θ from 10° to 90°), by angle:
d = 6.771 Å, I = 19, (1 1 -1); d = 6.316 Å, I = 55, (4 0 0); d = 5.887 Å, I = 100, (3 1 0); d = 4.116 Å, I = 36, (0 2 0); d = 2.821 Å, I = 16, (4 0 4); d = 2.660 Å, I = 23, (6 0 -4); d = 2.386 Å, I = 12, (5 3 -1); d = 2.083 Å, I = 15, (1 3 4)

Atomic structure:
```
data_Nb2AgPS10
_chemical_formula_sum 'Nb16 Ag8 P8 S80'
_cell_length_a 25.319
_cell_length_b 8.233
_cell_length_c 13.059
_cell_angle_alpha 90.00
_cell_angle_beta 93.75
_cell_angle_gamma 90.00
_symmetry_space_group_name_H-M 'C 1 2/c 1'
_symmetry_Int_Tables_number 15
_symmetry_space_group_name_Hall '-C 2yc'
loop_
_atom_site_label
_atom_site_type_symbol
_atom_site_fract_x
_atom_site_fract_y
_atom_site_fract_z
Nb1 Nb 0.135 0.068 0.213
Nb2 Nb 0.137 0.052 0.505
Ag1 Ag 0.057 0.471 0.096
P1 P 0.094 0.372 0.367
S1 S 0.042 0.444 0.885
S2 S 0.064 0.117 0.070
S3 S 0.065 0.135 0.354
S4 S 0.066 0.114 0.630
S5 S 0.132 0.391 0.231
S6 S 0.146 0.365 0.494
S7 S 0.155 0.141 0.856
S8 S 0.205 0.055 0.368
S9 S 0.205 0.137 0.093
S10 S 0.208 0.097 0.641
```



[6]
This entry pairs a crystal structure of BaMg14Co with its calculated powder XRD pattern. Radiation: copper Kα. Structure: a DFT-relaxed cell (PBE, the Materials Project).

The 8 most intense peaks (2θ from 10° to 90°), by angle:
d = 5.831 Å, I = 23, (0 0 2); d = 5.266 Å, I = 22, (2 0 0); d = 5.101 Å, I = 33, (1 0 2); d = 2.735 Å, I = 45, (0 2 2); d = 2.633 Å, I = 45, (4 0 0); d = 2.551 Å, I = 73, (2 0 4); d = 2.427 Å, I = 100, (2 2 2); d = 1.897 Å, I = 29, (4 2 2)

Atomic structure:
```
data_BaMg14Co
_chemical_formula_sum 'Ba2 Mg28 Co2'
_cell_length_a 10.532
_cell_length_b 6.195
_cell_length_c 11.662
_cell_angle_alpha 90.00
_cell_angle_beta 90.00
_cell_angle_gamma 90.00
_symmetry_space_group_name_H-M 'A m m 2'
_symmetry_Int_Tables_number 38
_symmetry_space_group_name_Hall 'A 2 -2'
loop_
_atom_site_label
_atom_site_type_symbol
_atom_site_fract_x
_atom_site_fract_y
_atom_site_fract_z
Ba1 Ba 0.000 0.000 0.000
Mg1 Mg 0.000 0.239 0.254
Mg2 Mg 0.208 0.000 0.619
Mg3 Mg 0.256 0.243 0.383
Mg4 Mg 0.275 0.000 0.142
Mg5 Mg 0.500 0.000 0.482
Mg6 Mg 0.500 0.000 0.972
Mg7 Mg 0.500 0.245 0.728
Co1 Co 0.000 0.000 0.452
```